For NaZn2P3O19, a PBE-relaxed structure gives the computed powder XRD pattern in this record (Cu Kα (λ = 1.5418 Å)).
No peak broadening, texture or thermal motion is included.

```
data_NaZn2P3O19
_chemical_formula_sum 'Na2 Zn4 P6 O38'
_cell_length_a 8.4511
_cell_length_b 10.4343
_cell_length_c 10.8344
_cell_angle_alpha 99.49
_cell_angle_beta 101.15
_cell_angle_gamma 109.83
_symmetry_space_group_name_H-M 'P 1'
_symmetry_Int_Tables_number 1
loop_
_symmetry_equiv_pos_as_xyz
'x,y,z'
loop_
_atom_site_label
_atom_site_type_symbol
_atom_site_fract_x
_atom_site_fract_y
_atom_site_fract_z
_atom_site_occupancy
Na1 Na 0.1233 0.0017 0.3470 1
Na2 Na 0.8767 0.9983 0.6530 1
Zn1 Zn 0.0000 0.5000 0.0000 1
Zn2 Zn 0.2584 0.4924 0.5475 1
Zn3 Zn 0.5000 0.0000 0.5000 1
Zn4 Zn 0.7416 0.5076 0.4525 1
P1 P 0.0056 0.5548 0.7129 1
P2 P 0.2346 0.7168 0.2725 1
P3 P 0.4485 0.2871 0.5624 1
P4 P 0.5515 0.7129 0.4376 1
P5 P 0.7654 0.2832 0.7275 1
P6 P 0.9944 0.4452 0.2871 1
O1 O 0.0178 0.5978 0.8564 1
O2 O 0.0994 0.6205 0.3360 1
O3 O 0.1040 0.0407 0.1091 1
O4 O 0.1060 0.9092 0.6113 1
O5 O 0.1087 0.3882 0.3708 1
O6 O 0.1370 0.9766 0.0177 1
O7 O 0.1616 0.6889 0.1285 1
O8 O 0.1811 0.5794 0.6836 1
O9 O 0.2077 0.1067 0.7774 1
O10 O 0.2432 0.8966 0.6573 1
O11 O 0.2827 0.8675 0.3496 1
O12 O 0.2910 0.4670 0.0257 1
O13 O 0.3111 0.3356 0.6011 1
O14 O 0.3206 0.3565 0.0448 1
O15 O 0.3351 0.0757 0.8086 1
O16 O 0.3708 0.1235 0.5127 1
O17 O 0.4041 0.6779 0.2990 1
O18 O 0.4629 0.6451 0.5322 1
O19 O 0.4789 0.3738 0.0942 1
O20 O 0.5211 0.6262 0.9058 1
O21 O 0.5371 0.3549 0.4678 1
O22 O 0.5959 0.3221 0.7010 1
O23 O 0.6292 0.8765 0.4873 1
O24 O 0.6649 0.9243 0.1914 1
O25 O 0.6794 0.6435 0.9552 1
O26 O 0.6889 0.6644 0.3989 1
O27 O 0.7090 0.5330 0.9743 1
O28 O 0.7173 0.1325 0.6504 1
O29 O 0.7568 0.1034 0.3427 1
O30 O 0.7923 0.8933 0.2226 1
O31 O 0.8189 0.4206 0.3164 1
O32 O 0.8384 0.3111 0.8715 1
O33 O 0.8630 0.0234 0.9823 1
O34 O 0.8913 0.6118 0.6292 1
O35 O 0.8940 0.0908 0.3887 1
O36 O 0.8960 0.9593 0.8909 1
O37 O 0.9006 0.3795 0.6640 1
O38 O 0.9822 0.4022 0.1436 1
```

Most intense lines, 10° ≤ 2θ ≤ 80°, in order of rising 2θ:
| 2θ (°) | intensity |
| --- | --- |
| 10.98 | 44 |
| 11.74 | 53 |
| 12.42 | 99 |
| 18.67 | 100 |
| 20.36 | 86 |
| 21.59 | 76 |
| 23.27 | 45 |
| 28.31 | 54 |
| 30.47 | 67 |
| 32.11 | 45 |

---

For Na3Zn4P3O19, a PBE-relaxed structure gives the computed powder XRD pattern in this record (Cu Kα (λ = 1.5418 Å)).
No peak broadening, texture or thermal motion is included.

```
data_Na3Zn4P3O19
_chemical_formula_sum 'Na6 Zn8 P6 O38'
_cell_length_a 10.4721
_cell_length_b 10.4721
_cell_length_c 10.4721
_cell_angle_alpha 63.09
_cell_angle_beta 63.09
_cell_angle_gamma 63.09
_symmetry_space_group_name_H-M 'P 1'
_symmetry_Int_Tables_number 1
loop_
_symmetry_equiv_pos_as_xyz
'x,y,z'
loop_
_atom_site_label
_atom_site_type_symbol
_atom_site_fract_x
_atom_site_fract_y
_atom_site_fract_z
_atom_site_occupancy
Na1 Na 0.1034 0.7549 0.6417 1
Na2 Na 0.1417 0.2549 0.6034 1
Na3 Na 0.2549 0.6034 0.1417 1
Na4 Na 0.6034 0.1417 0.2549 1
Na5 Na 0.6417 0.1034 0.7549 1
Na6 Na 0.7549 0.6417 0.1034 1
Zn1 Zn 0.2245 0.9290 0.2293 1
Zn2 Zn 0.2293 0.2245 0.9290 1
Zn3 Zn 0.2294 0.2294 0.2294 1
Zn4 Zn 0.4290 0.7245 0.7293 1
Zn5 Zn 0.7245 0.7293 0.4290 1
Zn6 Zn 0.7293 0.4290 0.7245 1
Zn7 Zn 0.7294 0.7294 0.7294 1
Zn8 Zn 0.9290 0.2293 0.2245 1
P1 P 0.3901 0.9208 0.4188 1
P2 P 0.4188 0.3901 0.9208 1
P3 P 0.4208 0.8901 0.9188 1
P4 P 0.8901 0.9188 0.4208 1
P5 P 0.9188 0.4208 0.8901 1
P6 P 0.9208 0.4188 0.3901 1
O1 O 0.0224 0.7226 0.9624 1
O2 O 0.0380 0.7683 0.0431 1
O3 O 0.0431 0.0380 0.7683 1
O4 O 0.0537 0.8893 0.4116 1
O5 O 0.0774 0.3126 0.8264 1
O6 O 0.0873 0.4126 0.2904 1
O7 O 0.1508 0.1508 0.1508 1
O8 O 0.2226 0.5224 0.4624 1
O9 O 0.2683 0.5380 0.5431 1
O10 O 0.2904 0.0873 0.4126 1
O11 O 0.2970 0.3940 0.8733 1
O12 O 0.3126 0.8264 0.0774 1
O13 O 0.3264 0.8126 0.5774 1
O14 O 0.3733 0.8940 0.7970 1
O15 O 0.3893 0.5537 0.9116 1
O16 O 0.3940 0.8733 0.2970 1
O17 O 0.4116 0.0537 0.8893 1
O18 O 0.4126 0.2904 0.0873 1
O19 O 0.4624 0.2226 0.5224 1
O20 O 0.5224 0.4624 0.2226 1
O21 O 0.5380 0.5431 0.2683 1
O22 O 0.5431 0.2683 0.5380 1
O23 O 0.5537 0.9116 0.3893 1
O24 O 0.5774 0.3264 0.8126 1
O25 O 0.5873 0.7904 0.9126 1
O26 O 0.6508 0.6508 0.6508 1
O27 O 0.7226 0.9624 0.0224 1
O28 O 0.7683 0.0431 0.0380 1
O29 O 0.7904 0.9126 0.5873 1
O30 O 0.7970 0.3733 0.8940 1
O31 O 0.8126 0.5774 0.3264 1
O32 O 0.8264 0.0774 0.3126 1
O33 O 0.8733 0.2970 0.3940 1
O34 O 0.8893 0.4116 0.0537 1
O35 O 0.8940 0.7970 0.3733 1
O36 O 0.9116 0.3893 0.5537 1
O37 O 0.9126 0.5873 0.7904 1
O38 O 0.9624 0.0224 0.7226 1
```

Most intense lines, 10° ≤ 2θ ≤ 80°, in order of rising 2θ:
| 2θ (°) | intensity |
| --- | --- |
| 11.70 | 100 |
| 20.01 | 22 |
| 21.29 | 19 |
| 28.21 | 29 |
| 28.69 | 44 |
| 30.07 | 13 |
| 34.83 | 20 |
| 35.62 | 27 |
| 37.09 | 23 |
| 62.83 | 12 |

---

For Na2ZnP2O7, a PBE-relaxed structure gives the computed powder XRD pattern in this record (Cu Kα (λ = 1.5418 Å)).
No peak broadening, texture or thermal motion is included.

```
data_Na2ZnP2O7
_chemical_formula_sum 'Na8 Zn4 P8 O28'
_cell_length_a 7.8177
_cell_length_b 7.8315
_cell_length_c 12.8453
_cell_angle_alpha 90.00
_cell_angle_beta 126.00
_cell_angle_gamma 90.00
_symmetry_space_group_name_H-M 'P 1'
_symmetry_Int_Tables_number 1
loop_
_symmetry_equiv_pos_as_xyz
'x,y,z'
loop_
_atom_site_label
_atom_site_type_symbol
_atom_site_fract_x
_atom_site_fract_y
_atom_site_fract_z
_atom_site_occupancy
Na1 Na 0.1427 0.1430 0.0037 1
Na2 Na 0.1427 0.3570 0.5037 1
Na3 Na 0.2967 0.7004 0.9906 1
Na4 Na 0.2967 0.7996 0.4906 1
Na5 Na 0.7033 0.2004 0.5094 1
Na6 Na 0.7033 0.2996 0.0094 1
Na7 Na 0.8573 0.6430 0.4963 1
Na8 Na 0.8573 0.8570 0.9963 1
Zn1 Zn 0.2369 0.0022 0.7492 1
Zn2 Zn 0.2369 0.4978 0.2492 1
Zn3 Zn 0.7631 0.5022 0.7508 1
Zn4 Zn 0.7631 0.9978 0.2508 1
P1 P 0.1602 0.1370 0.2937 1
P2 P 0.1602 0.3630 0.7937 1
P3 P 0.4217 0.6353 0.7820 1
P4 P 0.4217 0.8647 0.2820 1
P5 P 0.5783 0.1353 0.7180 1
P6 P 0.5783 0.3647 0.2180 1
P7 P 0.8398 0.6370 0.2063 1
P8 P 0.8398 0.8630 0.7063 1
O1 O 0.0141 0.1369 0.1482 1
O2 O 0.0141 0.3631 0.6482 1
O3 O 0.0710 0.0490 0.3603 1
O4 O 0.0710 0.4510 0.8603 1
O5 O 0.2532 0.1886 0.8592 1
O6 O 0.2532 0.3114 0.3592 1
O7 O 0.2748 0.6305 0.6362 1
O8 O 0.2748 0.8695 0.1362 1
O9 O 0.3416 0.1109 0.6576 1
O10 O 0.3416 0.3891 0.1576 1
O11 O 0.3761 0.0289 0.3423 1
O12 O 0.3761 0.4711 0.8423 1
O13 O 0.3927 0.7075 0.3431 1
O14 O 0.3927 0.7925 0.8431 1
O15 O 0.6073 0.2075 0.1569 1
O16 O 0.6073 0.2925 0.6569 1
O17 O 0.6239 0.5289 0.1577 1
O18 O 0.6239 0.9711 0.6577 1
O19 O 0.6584 0.6109 0.8424 1
O20 O 0.6584 0.8891 0.3424 1
O21 O 0.7252 0.1305 0.8638 1
O22 O 0.7252 0.3695 0.3638 1
O23 O 0.7468 0.6886 0.6408 1
O24 O 0.7468 0.8114 0.1408 1
O25 O 0.9290 0.5490 0.1397 1
O26 O 0.9290 0.9510 0.6397 1
O27 O 0.9859 0.6369 0.3518 1
O28 O 0.9859 0.8631 0.8518 1
```

Most intense lines, 10° ≤ 2θ ≤ 80°, in order of rising 2θ:
| 2θ (°) | intensity |
| --- | --- |
| 17.07 | 100 |
| 23.71 | 22 |
| 25.46 | 34 |
| 28.20 | 32 |
| 28.54 | 37 |
| 30.49 | 25 |
| 30.65 | 25 |
| 30.96 | 29 |
| 31.16 | 22 |
| 36.31 | 49 |